Structure and computed XRD peak list of BeZnCdCoP (a GGA-PBE-relaxed structure; a wavelength of 1.5418 Å).
Lines closer than 0.1° are merged.

```
data_BeZnCdCoP
_space_group_name_H-M_alt 'R 3 m'
_space_group_IT_number 160
_space_group_name_Hall 'R 3 -2"'
_cell_length_a 3.6728
_cell_length_b 3.6728
_cell_length_c 20.5673
_cell_angle_alpha 90.00
_cell_angle_beta 90.00
_cell_angle_gamma 120.00
loop_
_atom_site_label
_atom_site_type_symbol
_atom_site_fract_x
_atom_site_fract_y
_atom_site_fract_z
Be1 Be 0.0000 0.0000 0.0000
Zn1 Zn 0.0000 0.0000 0.5841
Cd1 Cd 0.0000 0.0000 0.8288
Co1 Co 0.0000 0.0000 0.6999
P1 P 0.0000 0.0000 0.3794
```

Peak list (6 most intense, 2θ = 10–80°, in order of rising 2θ)
| h k l | two_theta | Rel. int. |
| --- | --- | --- |
| 1 0 1 | 28.39 | 100 |
| 1 0 4 | 33.12 | 38 |
| 1 0 7 | 41.86 | 38 |
| 0 1 8 | 45.36 | 40 |
| 1 1 0 | 49.64 | 51 |
| 1 1 9 | 65.17 | 29 |

Structure and computed XRD peak list of BeZnCdCoP (a GGA-PBE-relaxed structure; a wavelength of 1.5418 Å).
Lines closer than 0.1° are merged.

```
data_BeZnCdCoP
_space_group_name_H-M_alt 'P 4 m m'
_space_group_IT_number 99
_cell_length_a 2.878
_cell_length_b 2.878
_cell_length_c 8.473
_cell_angle_alpha 90.00
_cell_angle_beta 90.00
_cell_angle_gamma 90.00
loop_
_space_group_symop_operation_xyz
'x,y,z'
'-y,x,z'
'-x,-y,z'
'y,-x,z'
'-x,y,z'
'y,x,z'
'x,-y,z'
'-y,-x,z'
loop_
_atom_site_label
_atom_site_type_symbol
_atom_site_fract_x
_atom_site_fract_y
_atom_site_fract_z
Be1 Be 0.000 0.000 0.000
Zn1 Zn 0.000 0.000 0.551
Cd1 Cd 0.500 0.500 0.792
Co1 Co 0.500 0.500 0.144
P1 P 0.000 0.000 0.269
```

Peak list (6 most intense, 2θ = 10–80°, in order of rising 2θ)
| h k l | two_theta | Rel. int. |
| --- | --- | --- |
| 0 0 1 | 10.44 | 38 |
| 0 0 3 | 31.68 | 32 |
| 1 0 1 | 32.87 | 100 |
| 1 0 2 | 37.79 | 69 |
| 1 1 0 | 44.52 | 75 |
| 1 0 3 | 44.97 | 90 |

Structure and computed XRD peak list of BeZnCdCoP (a GGA-PBE-relaxed structure; a wavelength of 1.5418 Å).
Lines closer than 0.1° are merged.

```
data_BeZnCdCoP
_space_group_name_H-M_alt 'P 4 m m'
_space_group_IT_number 99
_cell_length_a 2.866
_cell_length_b 2.866
_cell_length_c 8.475
_cell_angle_alpha 90.00
_cell_angle_beta 90.00
_cell_angle_gamma 90.00
loop_
_space_group_symop_operation_xyz
'x,y,z'
'-y,x,z'
'-x,-y,z'
'y,-x,z'
'-x,y,z'
'y,x,z'
'x,-y,z'
'-y,-x,z'
loop_
_atom_site_label
_atom_site_type_symbol
_atom_site_fract_x
_atom_site_fract_y
_atom_site_fract_z
Be1 Be 0.000 0.000 0.000
Zn1 Zn 0.500 0.500 0.165
Cd1 Cd 0.000 0.000 0.411
Co1 Co 0.500 0.500 0.853
P1 P 0.000 0.000 0.727
```

Peak list (6 most intense, 2θ = 10–80°, in order of rising 2θ)
| h k l | two_theta | Rel. int. |
| --- | --- | --- |
| 0 0 2 | 20.96 | 24 |
| 1 0 1 | 32.99 | 100 |
| 1 0 2 | 37.90 | 37 |
| 1 1 0 | 44.72 | 58 |
| 1 0 3 | 45.06 | 72 |
| 1 0 6 | 74.94 | 33 |

Structure and computed XRD peak list of BeZnCdCoP (a GGA-PBE-relaxed structure; a wavelength of 1.5418 Å).
Lines closer than 0.1° are merged.

```
data_BeZnCdCoP
_space_group_name_H-M_alt 'P 1'
_space_group_IT_number 1
_cell_length_a 2.812
_cell_length_b 4.998
_cell_length_c 5.414
_cell_angle_alpha 81.19
_cell_angle_beta 89.90
_cell_angle_gamma 73.96
loop_
_space_group_symop_operation_xyz
'x,y,z'
loop_
_atom_site_label
_atom_site_type_symbol
_atom_site_fract_x
_atom_site_fract_y
_atom_site_fract_z
Be1 Be 0.000 0.000 0.000
Zn1 Zn 0.223 0.562 0.334
Cd1 Cd 0.720 0.563 0.849
Co1 Co 0.430 0.140 0.665
P1 P 0.963 0.075 0.379
```

Peak list (6 most intense, 2θ = 10–80°, in order of rising 2θ)
| h k l | two_theta | Rel. int. |
| --- | --- | --- |
| 0 1 0 | 18.71 | 43 |
| 0 0 2 | 33.53 | 34 |
| 0 1 2 | 35.85 | 28 |
| 1 1 1 | 36.65 | 100 |
| 0 2 0 | 37.95 | 67 |
| 0 1 -2 | 41.32 | 30 |

Structure and computed XRD peak list of BeZnCdCoP (a GGA-PBE-relaxed structure; a wavelength of 1.5418 Å).
Lines closer than 0.1° are merged.

```
data_BeZnCdCoP
_space_group_name_H-M_alt 'C 1 m 1'
_space_group_IT_number 8
_cell_length_a 6.396
_cell_length_b 3.693
_cell_length_c 7.233
_cell_angle_alpha 90.00
_cell_angle_beta 107.25
_cell_angle_gamma 90.00
loop_
_space_group_symop_operation_xyz
'x,y,z'
'x,-y,z'
'x+1/2,y+1/2,z'
'x+1/2,-y+1/2,z'
loop_
_atom_site_label
_atom_site_type_symbol
_atom_site_fract_x
_atom_site_fract_y
_atom_site_fract_z
Be1 Be 0.000 0.000 0.000
Zn1 Zn 0.243 0.000 0.732
Cd1 Cd 0.489 0.000 0.460
Co1 Co 0.359 0.000 0.076
P1 P 0.204 0.500 0.111
```

Peak list (6 most intense, 2θ = 10–80°, in order of rising 2θ)
| h k l | two_theta | Rel. int. |
| --- | --- | --- |
| 2 0 -1 | 28.23 | 100 |
| 1 1 1 | 32.91 | 45 |
| 0 0 3 | 39.12 | 24 |
| 1 1 2 | 41.57 | 22 |
| 2 0 2 | 45.04 | 49 |
| 0 2 0 | 49.35 | 49 |

Structure and computed XRD peak list of Er2Be2CdPd5 (a GGA-PBE-relaxed structure; a wavelength of 1.5418 Å).
Lines closer than 0.1° are merged.

```
data_Er2Be2CdPd5
_space_group_name_H-M_alt 'P 4/m b m'
_space_group_IT_number 127
_space_group_name_Hall '-P 4 2ab'
_cell_length_a 9.659
_cell_length_b 9.659
_cell_length_c 3.496
_cell_angle_alpha 90.00
_cell_angle_beta 90.00
_cell_angle_gamma 90.00
loop_
_atom_site_label
_atom_site_type_symbol
_atom_site_fract_x
_atom_site_fract_y
_atom_site_fract_z
Er1 Er 0.178 0.322 0.000
Be1 Be 0.118 0.618 0.000
Cd1 Cd 0.000 0.000 0.000
Pd1 Pd 0.000 0.500 0.500
Pd2 Pd 0.070 0.781 0.500
```

Peak list (6 most intense, 2θ = 10–80°, in order of rising 2θ)
| h k l | two_theta | Rel. int. |
| --- | --- | --- |
| 2 1 1 | 32.96 | 93 |
| 2 2 1 | 36.79 | 41 |
| 4 1 0 | 38.43 | 76 |
| 3 1 1 | 39.16 | 100 |
| 4 2 0 | 41.82 | 32 |
| 4 1 2 | 66.79 | 38 |

Structure and computed XRD peak list of K2BeCdF6 (a GGA-PBE-relaxed structure; a wavelength of 1.5418 Å).
Lines closer than 0.1° are merged.

```
data_K2BeCdF6
_space_group_name_H-M_alt 'P -3 m 1'
_space_group_IT_number 164
_space_group_name_Hall '-P 3 2"'
_cell_length_a 5.8536
_cell_length_b 5.8536
_cell_length_c 5.5771
_cell_angle_alpha 90.00
_cell_angle_beta 90.00
_cell_angle_gamma 120.00
loop_
_atom_site_label
_atom_site_type_symbol
_atom_site_fract_x
_atom_site_fract_y
_atom_site_fract_z
K1 K 0.3333 0.6667 0.3606
Be1 Be 0.0000 0.0000 0.5000
Cd1 Cd 0.0000 0.0000 0.0000
F1 F 0.1433 0.2866 0.6922
```

Peak list (6 most intense, 2θ = 10–80°, in order of rising 2θ)
| h k l | two_theta | Rel. int. |
| --- | --- | --- |
| 1 0 0 | 17.49 | 100 |
| 0 1 1 | 23.72 | 99 |
| 1 1 0 | 30.54 | 49 |
| 2 0 1 | 39.03 | 74 |
| 0 2 2 | 48.54 | 38 |
| 1 2 1 | 50.36 | 32 |

Structure and computed XRD peak list of ZrBeCdFe2 (a GGA-PBE-relaxed structure; a wavelength of 1.5418 Å).
Lines closer than 0.1° are merged.

```
data_ZrBeCdFe2
_space_group_name_H-M_alt 'P 4/m m m'
_space_group_IT_number 123
_space_group_name_Hall '-P 4 2'
_cell_length_a 4.600
_cell_length_b 4.600
_cell_length_c 4.718
_cell_angle_alpha 90.00
_cell_angle_beta 90.00
_cell_angle_gamma 90.00
loop_
_atom_site_label
_atom_site_type_symbol
_atom_site_fract_x
_atom_site_fract_y
_atom_site_fract_z
Zr1 Zr 0.000 0.000 0.000
Be1 Be 0.000 0.000 0.500
Cd1 Cd 0.500 0.500 0.500
Fe1 Fe 0.000 0.500 0.000
```

Peak list (6 most intense, 2θ = 10–80°, in order of rising 2θ)
| h k l | two_theta | Rel. int. |
| --- | --- | --- |
| 1 0 1 | 27.07 | 100 |
| 1 1 1 | 33.46 | 30 |
| 0 0 2 | 38.15 | 27 |
| 2 0 0 | 39.17 | 50 |
| 2 1 1 | 48.26 | 40 |
| 2 0 2 | 55.82 | 34 |

Structure and computed XRD peak list of BeCdGeO4 (a GGA-PBE-relaxed structure; a wavelength of 1.5418 Å).
Lines closer than 0.1° are merged.

```
data_BeCdGeO4
_space_group_name_H-M_alt 'I -4'
_space_group_IT_number 82
_cell_length_a 4.859
_cell_length_b 4.859
_cell_length_c 7.410
_cell_angle_alpha 90.00
_cell_angle_beta 90.00
_cell_angle_gamma 90.00
loop_
_space_group_symop_operation_xyz
'x,y,z'
'y,-x,-z'
'-x,-y,z'
'-y,x,-z'
'x+1/2,y+1/2,z+1/2'
'y+1/2,-x+1/2,-z+1/2'
'-x+1/2,-y+1/2,z+1/2'
'-y+1/2,x+1/2,-z+1/2'
loop_
_atom_site_label
_atom_site_type_symbol
_atom_site_fract_x
_atom_site_fract_y
_atom_site_fract_z
Be1 Be 0.000 0.000 0.000
Cd1 Cd 0.000 0.500 0.250
Ge1 Ge 0.000 0.500 0.750
O1 O 0.157 0.762 0.882
```

Peak list (6 most intense, 2θ = 10–80°, in order of rising 2θ)
| h k l | two_theta | Rel. int. |
| --- | --- | --- |
| 0 0 2 | 24.02 | 53 |
| 1 1 0 | 25.93 | 90 |
| 1 1 2 | 35.64 | 100 |
| 2 0 0 | 37.00 | 25 |
| 2 0 2 | 44.60 | 45 |
| 3 1 2 | 65.80 | 30 |

Structure and computed XRD peak list of BeCdInH6 (a GGA-PBE-relaxed structure; a wavelength of 1.5418 Å).
Lines closer than 0.1° are merged.

```
data_BeCdInH6
_space_group_name_H-M_alt 'P 3 1 2'
_space_group_IT_number 149
_cell_length_a 4.6705
_cell_length_b 4.6705
_cell_length_c 4.9027
_cell_angle_alpha 90.00
_cell_angle_beta 90.00
_cell_angle_gamma 120.00
loop_
_space_group_symop_operation_xyz
'x,y,z'
'-y,x-y,z'
'-x+y,-x,z'
'-y,-x,-z'
'-x+y,y,-z'
'x,x-y,-z'
loop_
_atom_site_label
_atom_site_type_symbol
_atom_site_fract_x
_atom_site_fract_y
_atom_site_fract_z
Be1 Be 0.0000 0.0000 0.0000
Cd1 Cd 0.6667 0.3333 0.0000
In1 In 0.3333 0.6667 0.5000
H1 H 0.0167 0.2917 0.2086
```

Peak list (6 most intense, 2θ = 10–80°, in order of rising 2θ)
| h k l | two_theta | Rel. int. |
| --- | --- | --- |
| 1 0 0 | 21.98 | 27 |
| 1 0 1 | 28.61 | 100 |
| 1 1 0 | 38.55 | 30 |
| 2 0 1 | 48.71 | 22 |
| 2 -1 2 | 54.25 | 23 |
| 2 1 1 | 63.77 | 19 |

Structure and computed XRD peak list of HfBeCd (a GGA-PBE-relaxed structure; a wavelength of 1.5418 Å).
Lines closer than 0.1° are merged.

```
data_HfBeCd
_space_group_name_H-M_alt 'C m c m'
_space_group_IT_number 63
_space_group_name_Hall '-C 2c 2'
_cell_length_a 3.778
_cell_length_b 15.712
_cell_length_c 3.472
_cell_angle_alpha 90.00
_cell_angle_beta 90.00
_cell_angle_gamma 90.00
loop_
_atom_site_label
_atom_site_type_symbol
_atom_site_fract_x
_atom_site_fract_y
_atom_site_fract_z
Hf1 Hf 0.000 0.081 0.250
Be1 Be 0.000 0.462 0.250
Cd1 Cd 0.000 0.299 0.250
```

Peak list (6 most intense, 2θ = 10–80°, in order of rising 2θ)
| h k l | two_theta | Rel. int. |
| --- | --- | --- |
| 1 1 0 | 24.23 | 43 |
| 0 4 1 | 34.47 | 95 |
| 1 1 1 | 35.58 | 100 |
| 1 5 0 | 37.22 | 79 |
| 2 4 1 | 60.57 | 37 |
| 1 9 1 | 64.65 | 34 |

Structure and computed XRD peak list of BeCdI4 (a GGA-PBE-relaxed structure; a wavelength of 1.5418 Å).
Lines closer than 0.1° are merged.

```
data_BeCdI4
_space_group_name_H-M_alt 'P 42/m m c'
_space_group_IT_number 131
_space_group_name_Hall '-P 4c 2'
_cell_length_a 7.968
_cell_length_b 7.968
_cell_length_c 10.110
_cell_angle_alpha 90.00
_cell_angle_beta 90.00
_cell_angle_gamma 90.00
loop_
_atom_site_label
_atom_site_type_symbol
_atom_site_fract_x
_atom_site_fract_y
_atom_site_fract_z
Be1 Be 0.000 0.500 0.000
Cd1 Cd 0.000 0.000 0.000
I1 I 0.232 0.276 0.000
```

Peak list (6 most intense, 2θ = 10–80°, in order of rising 2θ)
| h k l | two_theta | Rel. int. |
| --- | --- | --- |
| 0 0 2 | 17.54 | 100 |
| 2 0 0 | 22.32 | 37 |
| 2 0 2 | 28.53 | 40 |
| 2 2 0 | 31.76 | 40 |
| 2 2 2 | 36.51 | 55 |
| 2 2 4 | 48.38 | 24 |

Structure and computed XRD peak list of BeCd2In (a GGA-PBE-relaxed structure; a wavelength of 1.5418 Å).
Lines closer than 0.1° are merged.

```
data_BeCd2In
_space_group_name_H-M_alt 'C 1 m 1'
_space_group_IT_number 8
_cell_length_a 9.047
_cell_length_b 3.033
_cell_length_c 6.612
_cell_angle_alpha 90.00
_cell_angle_beta 111.00
_cell_angle_gamma 90.00
loop_
_space_group_symop_operation_xyz
'x,y,z'
'x,-y,z'
'x+1/2,y+1/2,z'
'x+1/2,-y+1/2,z'
loop_
_atom_site_label
_atom_site_type_symbol
_atom_site_fract_x
_atom_site_fract_y
_atom_site_fract_z
Be1 Be 0.000 0.000 0.000
Cd1 Cd 0.276 0.000 0.999
Cd2 Cd 0.461 0.000 0.658
In1 In 0.143 0.500 0.357
```

Peak list (6 most intense, 2θ = 10–80°, in order of rising 2θ)
| h k l | two_theta | Rel. int. |
| --- | --- | --- |
| 2 0 -2 | 29.08 | 100 |
| 2 0 1 | 29.60 | 92 |
| 1 1 0 | 31.33 | 59 |
| 1 1 1 | 36.23 | 71 |
| 4 0 -1 | 39.86 | 41 |
| 3 1 -1 | 42.38 | 48 |

Structure and computed XRD peak list of Be2CdIn (a GGA-PBE-relaxed structure; a wavelength of 1.5418 Å).
Lines closer than 0.1° are merged.

```
data_Be2CdIn
_space_group_name_H-M_alt 'C 1 2/m 1'
_space_group_IT_number 12
_cell_length_a 7.263
_cell_length_b 4.275
_cell_length_c 5.276
_cell_angle_alpha 90.00
_cell_angle_beta 113.84
_cell_angle_gamma 90.00
loop_
_space_group_symop_operation_xyz
'x,y,z'
'-x,-y,-z'
'-x,y,-z'
'x,-y,z'
'x+1/2,y+1/2,z'
'-x+1/2,-y+1/2,-z'
'-x+1/2,y+1/2,-z'
'x+1/2,-y+1/2,z'
loop_
_atom_site_label
_atom_site_type_symbol
_atom_site_fract_x
_atom_site_fract_y
_atom_site_fract_z
Be1 Be 0.170 0.000 0.022
Cd1 Cd 0.000 0.500 0.000
In1 In 0.000 0.000 0.500
```

Peak list (6 most intense, 2θ = 10–80°, in order of rising 2θ)
| h k l | two_theta | Rel. int. |
| --- | --- | --- |
| 2 0 0 | 26.84 | 54 |
| 1 1 -1 | 27.51 | 100 |
| 1 1 1 | 34.21 | 58 |
| 2 0 -2 | 36.10 | 25 |
| 0 0 2 | 37.26 | 26 |
| 3 1 -1 | 42.99 | 35 |